For Te4Mo3WSe2S2, a GGA-PBE-relaxed structure gives the calculated XRD peak list in this record (Cu Kα).
Neutral-atom scattering factors, no anomalous dispersion.

Cell and atoms:
```
data_Te4Mo3WSe2S2
_chemical_formula_sum 'Te4 Mo3 W1 Se2 S2'
_cell_length_a 3.3984
_cell_length_b 3.3984
_cell_length_c 40.1972
_cell_angle_alpha 90.00
_cell_angle_beta 90.00
_cell_angle_gamma 120.00
_symmetry_space_group_name_H-M 'P 3 m 1'
_symmetry_Int_Tables_number 156
_symmetry_space_group_name_Hall 'P 3 -2"'
loop_
_atom_site_label
_atom_site_type_symbol
_atom_site_fract_x
_atom_site_fract_y
_atom_site_fract_z
_atom_site_occupancy
Te1 Te 0.0000 0.0000 0.0000 1
Te2 Te 0.0000 0.0000 0.0933 1
Te3 Te 0.3333 0.6667 0.1898 1
Te4 Te 0.3333 0.6667 0.2835 1
Mo1 Mo 0.0000 0.0000 0.8600 1
Mo2 Mo 0.3333 0.6667 0.0466 1
Mo3 Mo 0.3333 0.6667 0.4241 1
W1 W 0.0000 0.0000 0.2367 1
Se1 Se 0.0000 0.0000 0.3830 1
Se2 Se 0.0000 0.0000 0.4651 1
S1 S 0.3333 0.6667 0.8226 1
S2 S 0.3333 0.6667 0.8974 1
```

Principal peaks in the range 2θ = 10–80°, by angle:
2theta	I (rel.)	h k l
11.0	100	0 0 5
30.4	50	1 0 0
34.2	17	0 1 7
35.3	77	1 0 8
36.6	21	1 0 9
42.4	57	0 1 13
44.1	19	1 0 14
54.0	36	1 1 0
70.9	14	2 0 13
74.7	15	1 1 21

=====

For Be2HgTe, a GGA-PBE-relaxed structure gives the calculated XRD peak list in this record (Cu Kα).
Neutral-atom scattering factors, no anomalous dispersion.

Cell and atoms:
```
data_Be2HgTe
_chemical_formula_sum 'Be8 Hg4 Te4'
_cell_length_a 6.6789
_cell_length_b 6.6789
_cell_length_c 6.6789
_cell_angle_alpha 90.00
_cell_angle_beta 90.00
_cell_angle_gamma 90.00
_symmetry_space_group_name_H-M 'F m -3 m'
_symmetry_Int_Tables_number 225
_symmetry_space_group_name_Hall '-F 4 2 3'
loop_
_atom_site_label
_atom_site_type_symbol
_atom_site_fract_x
_atom_site_fract_y
_atom_site_fract_z
_atom_site_occupancy
Be1 Be 0.2500 0.2500 0.2500 1
Hg1 Hg 0.0000 0.0000 0.0000 1
Te1 Te 0.0000 0.0000 0.5000 1
```

Principal peaks in the range 2θ = 10–80°, by angle:
2theta	I (rel.)	h k l
23.1	11	1 1 1
26.7	100	2 0 0
38.1	93	2 2 0
45.0	6	3 1 1
47.1	29	2 2 2
55.0	16	4 0 0
60.4	3	3 3 1
62.2	39	4 2 0
68.9	33	4 2 2
73.7	2	5 1 1

=====

For K7Se4NO16, a GGA-PBE-relaxed structure gives the calculated XRD peak list in this record (Cu Kα).
Neutral-atom scattering factors, no anomalous dispersion.

Cell and atoms:
```
data_K7Se4NO16
_chemical_formula_sum 'K7 Se4 N1 O16'
_cell_length_a 7.9180
_cell_length_b 6.0217
_cell_length_c 10.7153
_cell_angle_alpha 90.00
_cell_angle_beta 90.30
_cell_angle_gamma 90.00
_symmetry_space_group_name_H-M 'P 1 m 1'
_symmetry_Int_Tables_number 6
_symmetry_space_group_name_Hall 'P -2y'
loop_
_atom_site_label
_atom_site_type_symbol
_atom_site_fract_x
_atom_site_fract_y
_atom_site_fract_z
_atom_site_occupancy
K1 K 0.0000 0.0000 0.0000 1
K2 K 0.0129 0.5000 0.5951 1
K3 K 0.1894 0.0000 0.3849 1
K4 K 0.3476 0.5000 0.8796 1
K5 K 0.5036 0.0000 0.0896 1
K6 K 0.5310 0.5000 0.5153 1
K7 K 0.8397 0.5000 0.2157 1
Se1 Se 0.2444 0.0000 0.7235 1
Se2 Se 0.2888 0.5000 0.2231 1
Se3 Se 0.7418 0.0000 0.3738 1
Se4 Se 0.7898 0.5000 0.8817 1
N1 N 0.6795 0.0000 0.7051 1
O1 O 0.0008 0.5000 0.8770 1
O2 O 0.0324 0.0000 0.7175 1
O3 O 0.2130 0.2720 0.1518 1
O4 O 0.2226 0.5000 0.3721 1
O5 O 0.3086 0.2309 0.6506 1
O6 O 0.3095 0.0000 0.8725 1
O7 O 0.4995 0.5000 0.2161 1
O8 O 0.5313 0.0000 0.3798 1
O9 O 0.7072 0.5000 0.7370 1
O10 O 0.7195 0.2777 0.9604 1
O11 O 0.8058 0.0000 0.2235 1
O12 O 0.8214 0.2306 0.4391 1
```

Principal peaks in the range 2θ = 10–80°, by angle:
2theta	I (rel.)	h k l
20.0	45	1 0 2
20.3	92	1 1 -1
22.5	31	2 0 0
28.1	18	2 0 2
28.2	56	2 1 -1
29.1	100	0 1 3
29.7	56	0 2 0
38.1	17	3 1 -1
38.5	16	2 2 1
41.3	18	2 2 2

=====

For ZnFePb, a GGA-PBE-relaxed structure gives the calculated XRD peak list in this record (Cu Kα).
Neutral-atom scattering factors, no anomalous dispersion.

Cell and atoms:
```
data_ZnFePb
_chemical_formula_sum 'Zn4 Fe4 Pb4'
_cell_length_a 6.2157
_cell_length_b 6.2157
_cell_length_c 6.2157
_cell_angle_alpha 90.00
_cell_angle_beta 90.00
_cell_angle_gamma 90.00
_symmetry_space_group_name_H-M 'F -4 3 m'
_symmetry_Int_Tables_number 216
_symmetry_space_group_name_Hall 'F -4 2 3'
loop_
_atom_site_label
_atom_site_type_symbol
_atom_site_fract_x
_atom_site_fract_y
_atom_site_fract_z
_atom_site_occupancy
Zn1 Zn 0.0000 0.0000 0.0000 1
Fe1 Fe 0.0000 0.0000 0.5000 1
Pb1 Pb 0.2500 0.2500 0.2500 1
```

Principal peaks in the range 2θ = 10–80°, by angle:
2theta	I (rel.)	h k l
24.8	92	1 1 1
28.7	6	2 0 0
41.1	100	2 2 0
48.6	47	3 1 1
50.9	2	2 2 2
59.5	17	4 0 0
65.5	20	3 3 1
67.4	3	4 2 0
74.8	34	4 2 2

=====

For DyBr2, a GGA-PBE-relaxed structure gives the calculated XRD peak list in this record (Cu Kα).
Neutral-atom scattering factors, no anomalous dispersion.

Cell and atoms:
```
data_DyBr2
_chemical_formula_sum 'Dy2 Br4'
_cell_length_a 7.2852
_cell_length_b 7.2852
_cell_length_c 3.6464
_cell_angle_alpha 90.00
_cell_angle_beta 90.00
_cell_angle_gamma 90.00
_symmetry_space_group_name_H-M 'P 42/m n m'
_symmetry_Int_Tables_number 136
_symmetry_space_group_name_Hall '-P 4n 2n'
loop_
_atom_site_label
_atom_site_type_symbol
_atom_site_fract_x
_atom_site_fract_y
_atom_site_fract_z
_atom_site_occupancy
Dy1 Dy 0.0000 0.0000 0.0000 1
Br1 Br 0.2181 0.2181 0.5000 1
```

Principal peaks in the range 2θ = 10–80°, by angle:
2theta	I (rel.)	h k l
17.2	100	1 1 0
27.4	48	1 0 1
30.0	47	1 1 1
34.8	57	2 2 0
37.0	78	2 1 1
44.8	41	3 0 1
46.6	19	3 1 1
50.1	29	0 0 2
62.4	22	2 2 2
74.9	26	5 2 1

=====

For Hf2CuSi4, a GGA-PBE-relaxed structure gives the calculated XRD peak list in this record (Cu Kα).
Neutral-atom scattering factors, no anomalous dispersion.

Cell and atoms:
```
data_Hf2CuSi4
_chemical_formula_sum 'Hf8 Cu4 Si16'
_cell_length_a 3.6828
_cell_length_b 32.5429
_cell_length_c 3.6643
_cell_angle_alpha 90.00
_cell_angle_beta 90.00
_cell_angle_gamma 90.00
_symmetry_space_group_name_H-M 'C m c m'
_symmetry_Int_Tables_number 63
_symmetry_space_group_name_Hall '-C 2c 2'
loop_
_atom_site_label
_atom_site_type_symbol
_atom_site_fract_x
_atom_site_fract_y
_atom_site_fract_z
_atom_site_occupancy
Hf1 Hf 0.0000 0.0471 0.2500 1
Hf2 Hf 0.0000 0.3234 0.2500 1
Cu1 Cu 0.0000 0.2501 0.7500 1
Si1 Si 0.0000 0.1129 0.7500 1
Si2 Si 0.0000 0.2021 0.2500 1
Si3 Si 0.0000 0.3874 0.7500 1
Si4 Si 0.0000 0.4756 0.2500 1
```

Principal peaks in the range 2θ = 10–80°, by angle:
2theta	I (rel.)	h k l
21.8	13	0 8 0
25.5	36	1 3 0
26.7	48	0 4 1
38.7	17	0 14 0
39.1	24	1 11 0
39.8	100	1 7 1
49.5	16	2 0 0
49.8	15	0 0 2
56.8	17	0 18 1
57.1	12	2 4 1

=====

For Ti3VS6, a GGA-PBE-relaxed structure gives the calculated XRD peak list in this record (Cu Kα).
Neutral-atom scattering factors, no anomalous dispersion.

Cell and atoms:
```
data_Ti3VS6
_chemical_formula_sum 'Ti9 V3 S18'
_cell_length_a 5.8939
_cell_length_b 5.8939
_cell_length_c 17.3373
_cell_angle_alpha 90.00
_cell_angle_beta 90.00
_cell_angle_gamma 120.00
_symmetry_space_group_name_H-M 'R -3'
_symmetry_Int_Tables_number 148
_symmetry_space_group_name_Hall '-R 3'
loop_
_atom_site_label
_atom_site_type_symbol
_atom_site_fract_x
_atom_site_fract_y
_atom_site_fract_z
_atom_site_occupancy
Ti1 Ti 0.0000 0.0000 0.0000 1
Ti2 Ti 0.0000 0.0000 0.3321 1
V1 V 0.0000 0.0000 0.5000 1
S1 S 0.0001 0.3343 0.7515 1
```

Principal peaks in the range 2θ = 10–80°, by angle:
2theta	I (rel.)	h k l
15.3	25	0 0 3
18.1	16	1 0 1
20.2	13	0 1 2
30.3	15	1 1 0
34.2	98	2 -1 3
43.9	100	1 1 6
53.9	46	3 0 0
57.1	18	1 1 9
65.4	12	2 2 3
71.9	20	4 -2 6